Diffraction record for Li3MnCoO5. The X-ray diffraction stick pattern is calculated, not measured: it uses a structure optimized by DFT (PBE+U) and CuKα.
Lines closer than 0.1° are merged.

Main lines, low angle first (10 to 90 degrees two-theta):
18.2°, intensity 100
20.6°, intensity 8
27.6°, intensity 9
34.6°, intensity 11
36.2°, intensity 26
41.6°, intensity 26
44.0°, intensity 58
58.0°, intensity 11
62.1°, intensity 13
62.3°, intensity 12

Structural model:
abc: 5.115 5.115 13.338
angles: 103.27 103.27 32.80
Atoms (fractional coordinates):
1 Li 0.000 0.000 0.000
2 Li 0.106 0.106 0.718
3 Li 0.312 0.312 0.085
4 Li 0.500 0.500 0.500
5 Li 0.688 0.688 0.915
6 Li 0.894 0.894 0.282
7 Mn 0.197 0.197 0.399
8 Mn 0.803 0.803 0.601
9 Co 0.398 0.398 0.822
10 Co 0.602 0.602 0.178
11 O 0.038 0.038 0.844
12 O 0.167 0.167 0.546
13 O 0.238 0.238 0.269
14 O 0.344 0.344 0.939
15 O 0.436 0.436 0.636
16 O 0.564 0.564 0.364
17 O 0.656 0.656 0.061
18 O 0.762 0.762 0.731
19 O 0.833 0.833 0.454
20 O 0.962 0.962 0.156

---

Diffraction record for Li5Mn2CoO8. The X-ray diffraction stick pattern is calculated, not measured: it uses a structure optimized by DFT (PBE+U) and CuKα.
Lines closer than 0.1° are merged.

Main lines, low angle first (10 to 90 degrees two-theta):
10.5°, intensity 21
15.2°, intensity 18
18.5°, intensity 100
18.6°, intensity 10
35.7°, intensity 13
36.5°, intensity 26
43.1°, intensity 30
44.3°, intensity 59
63.4°, intensity 15
63.7°, intensity 17

Structural model:
abc: 5.825 2.868 8.401
angles: 90.00 90.38 90.00
Atoms (fractional coordinates):
1 Li 0.000 0.000 0.000
2 Li 0.000 0.000 0.500
3 Li 0.244 0.500 0.282
4 Li 0.500 0.000 0.500
5 Li 0.756 0.500 0.718
6 Mn 0.250 0.500 0.737
7 Mn 0.750 0.500 0.263
8 Co 0.500 0.000 0.000
9 O 0.027 0.000 0.754
10 O 0.250 0.500 0.521
11 O 0.277 0.500 0.983
12 O 0.482 0.000 0.750
13 O 0.518 0.000 0.250
14 O 0.723 0.500 0.017
15 O 0.750 0.500 0.479
16 O 0.973 0.000 0.246